The following is a simulated powder diffraction line list of AgSnIr2. It was derived from the GGA-PBE geometry in OQMD, using Cu Kα.
Intensities are scaled so that the largest is 100.

Top 9 peaks for 2θ from 10° to 90°, in order of falling intensity:
d (Å)  I/Imax
2.284  100
1.319  35
1.615  17
1.142  11
3.730  7
1.948  4
1.482  2
1.092  1
1.243  1

Crystal structure
a b c (Å): 6.4605 6.4605 6.4605
angles (deg): 90.00 90.00 90.00
Sites, in units of the cell vectors:
Ag 0.0000 0.0000 0.0000
Ag 0.0000 0.5000 0.5000
Ag 0.5000 0.0000 0.5000
Ag 0.5000 0.5000 0.0000
Sn 0.2500 0.2500 0.7500
Sn 0.2500 0.7500 0.2500
Sn 0.7500 0.2500 0.2500
Sn 0.7500 0.7500 0.7500
Ir 0.0000 0.0000 0.5000
Ir 0.0000 0.5000 0.0000
Ir 0.2500 0.2500 0.2500
Ir 0.2500 0.7500 0.7500
Ir 0.5000 0.0000 0.0000
Ir 0.5000 0.5000 0.5000
Ir 0.7500 0.2500 0.7500
Ir 0.7500 0.7500 0.2500

***

The following is a simulated powder diffraction line list of CsAu8. It was derived from the GGA-PBE geometry in OQMD, using Cu Kα.
Intensities are scaled so that the largest is 100.

Top 12 peaks for 2θ from 10° to 90°, in order of falling intensity:
d (Å)  I/Imax
4.808  100
3.021  79
2.032  66
2.242  61
1.640  46
3.883  38
2.404  25
1.800  18
1.304  16
1.404  16
1.140  15
1.250  14

Crystal structure
a b c (Å): 8.9680 8.9680 4.8084
angles (deg): 90.00 90.00 120.00
Sites, in units of the cell vectors:
Cs 0.0000 0.0000 0.0000
Au 0.1680 0.3360 0.5000
Au 0.1680 0.8320 0.5000
Au 0.3333 0.6667 0.5000
Au 0.3360 0.1680 0.5000
Au 0.6640 0.8320 0.5000
Au 0.6667 0.3333 0.5000
Au 0.8320 0.1680 0.5000
Au 0.8320 0.6640 0.5000

***

The following is a simulated powder diffraction line list of Nd2HoIn3AgPd2. It was derived from the GGA-PBE geometry in OQMD, using Cu Kα.
Intensities are scaled so that the largest is 100.

Top 12 peaks for 2θ from 10° to 90°, in order of falling intensity:
d (Å)  I/Imax
2.767  100
2.564  91
2.581  31
2.277  29
1.945  23
1.450  22
2.150  15
2.573  15
1.479  14
2.268  14
1.553  13
1.455  12

Crystal structure
a b c (Å): 3.8892 7.8676 7.8676
angles (deg): 119.76 90.00 90.00
Sites, in units of the cell vectors:
Nd 0.0000 0.2046 0.7954
Nd 0.0000 0.7954 0.2046
Ho 0.0000 0.6142 0.6142
In 0.5000 0.2089 0.4707
In 0.5000 0.4707 0.2089
In 0.5000 0.9354 0.9354
Ag 0.0000 0.2073 0.2073
Pd 0.5000 0.5401 0.8663
Pd 0.5000 0.8663 0.5401

***

The following is a simulated powder diffraction line list of Ta4Ni5Pb5. It was derived from the GGA-PBE geometry in OQMD, using Cu Kα.
Intensities are scaled so that the largest is 100.

Top 12 peaks for 2θ from 10° to 90°, in order of falling intensity:
d (Å)  I/Imax
2.143  100
3.031  65
1.237  17
3.499  16
1.750  16
1.354  12
1.238  10
1.514  9
1.357  9
2.433  6
1.518  5
1.524  4

Crystal structure
a b c (Å): 7.4199 7.4199 7.4199
angles (deg): 99.64 99.64 131.69
Sites, in units of the cell vectors:
Ta 0.0917 0.6931 0.7968
Ta 0.3069 0.1038 0.3987
Ta 0.7051 0.9083 0.6013
Ta 0.8962 0.2949 0.2032
Ni 0.0055 0.3304 0.8925
Ni 0.2500 0.7500 0.5000
Ni 0.4379 0.1130 0.1075
Ni 0.6696 0.5621 0.6752
Ni 0.8870 0.9945 0.3248
Pb 0.0000 0.0000 0.0000
Pb 0.2341 0.4241 0.6372
Pb 0.4031 0.7659 0.1900
Pb 0.5759 0.2131 0.8100
Pb 0.7869 0.5969 0.3628

***

The following is a simulated powder diffraction line list of Sr2TaNO3. It was derived from the GGA-PBE geometry in OQMD, using Cu Kα.
Intensities are scaled so that the largest is 100.

Top 12 peaks for 2θ from 10° to 90°, in order of falling intensity:
d (Å)  I/Imax
2.907  100
6.231  40
2.862  33
2.893  32
2.035  32
2.125  22
1.661  20
1.673  19
3.868  17
1.453  15
2.077  13
1.091  11

Crystal structure
a b c (Å): 6.8699 6.8699 5.7236
angles (deg): 90.00 90.00 49.81
Sites, in units of the cell vectors:
Sr 0.0865 0.6253 0.7500
Sr 0.3747 0.9135 0.7500
Sr 0.6253 0.0865 0.2500
Sr 0.9135 0.3747 0.2500
Ta 0.2668 0.7332 0.2500
Ta 0.7332 0.2668 0.7500
N 0.5000 0.5000 0.0000
N 0.5000 0.5000 0.5000
O 0.0000 0.0000 0.0000
O 0.0000 0.0000 0.5000
O 0.0609 0.6159 0.2500
O 0.3841 0.9391 0.2500
O 0.6159 0.0609 0.7500
O 0.9391 0.3841 0.7500

***

The following is a simulated powder diffraction line list of Ta4Nb3Co6. It was derived from the GGA-PBE geometry in OQMD, using Cu Kα.
Intensities are scaled so that the largest is 100.

Top 12 peaks for 2θ from 10° to 90°, in order of falling intensity:
d (Å)  I/Imax
2.476  100
2.155  69
2.239  51
8.750  51
2.085  49
1.238  26
1.257  24
1.341  24
1.985  24
1.430  21
1.379  20
1.862  20

Crystal structure
a b c (Å): 9.2053 9.2053 9.2053
angles (deg): 31.21 31.21 31.21
Sites, in units of the cell vectors:
Ta 0.0503 0.0503 0.0503
Ta 0.3336 0.3336 0.3336
Ta 0.6664 0.6664 0.6664
Ta 0.9497 0.9497 0.9497
Nb 0.1539 0.1539 0.1539
Nb 0.5000 0.5000 0.5000
Nb 0.8461 0.8461 0.8461
Co 0.0804 0.5909 0.5909
Co 0.4091 0.4091 0.9196
Co 0.4091 0.9196 0.4091
Co 0.5909 0.0804 0.5909
Co 0.5909 0.5909 0.0804
Co 0.9196 0.4091 0.4091

***

The following is a simulated powder diffraction line list of NdAl5CuIr. It was derived from the GGA-PBE geometry in OQMD, using Cu Kα.
Intensities are scaled so that the largest is 100.

Top 12 peaks for 2θ from 10° to 90°, in order of falling intensity:
d (Å)  I/Imax
2.862  100
3.607  43
2.595  41
1.904  39
5.811  38
2.028  33
2.977  26
3.735  23
1.431  21
2.020  21
1.763  18
2.541  17

Crystal structure
a b c (Å): 4.0401 7.2131 9.8064
angles (deg): 90.00 90.00 90.00
Sites, in units of the cell vectors:
Nd 0.0000 0.0000 0.0000
Nd 0.5000 0.5000 0.5000
Al 0.0000 0.1880 0.3526
Al 0.0000 0.1911 0.6573
Al 0.0000 0.5000 0.0148
Al 0.0000 0.8089 0.6573
Al 0.0000 0.8120 0.3526
Al 0.5000 0.0000 0.5148
Al 0.5000 0.3089 0.1573
Al 0.5000 0.3120 0.8526
Al 0.5000 0.6880 0.8526
Al 0.5000 0.6911 0.1573
Cu 0.0000 0.5000 0.2564
Cu 0.5000 0.0000 0.7564
Ir 0.0000 0.5000 0.7699
Ir 0.5000 0.0000 0.2699

***

The following is a simulated powder diffraction line list of AgP5. It was derived from the GGA-PBE geometry in OQMD, using Cu Kα.
Intensities are scaled so that the largest is 100.

Top 12 peaks for 2θ from 10° to 90°, in order of falling intensity:
d (Å)  I/Imax
2.855  100
1.797  91
4.310  77
3.259  74
2.810  71
2.774  65
2.679  58
2.599  55
1.742  52
5.925  51
4.225  45
2.553  43

Crystal structure
a b c (Å): 6.5172 6.2798 11.8504
angles (deg): 90.00 90.00 90.00
Sites, in units of the cell vectors:
Ag 0.0000 0.0386 0.0000
Ag 0.0000 0.9614 0.5000
Ag 0.5000 0.2417 0.6036
Ag 0.5000 0.7583 0.1036
P 0.0000 0.2659 0.8186
P 0.0000 0.2772 0.6354
P 0.0000 0.3745 0.1284
P 0.0000 0.6255 0.6284
P 0.0000 0.7228 0.1354
P 0.0000 0.7341 0.3186
P 0.2430 0.4915 0.8784
P 0.2430 0.5085 0.3784
P 0.2480 0.2608 0.2416
P 0.2480 0.7392 0.7416
P 0.5000 0.1061 0.0054
P 0.5000 0.2674 0.8396
P 0.5000 0.3683 0.1272
P 0.5000 0.6317 0.6272
P 0.5000 0.7326 0.3396
P 0.5000 0.8939 0.5054
P 0.7520 0.2608 0.2416
P 0.7520 0.7392 0.7416
P 0.7570 0.4915 0.8784
P 0.7570 0.5085 0.3784